For Rb2V3O8, a DFT-relaxed cell (GGA+U, Alexandria) gives the computed XRD peak list in this record (λ = 1.5418 Å (Cu Kα)).
Peak positions follow from Bragg's law for the DFT cell and can differ from measured ones.

Atomic structure:
a b c (Å): 9.0534 9.0534 5.7873
angles (deg): 90.00 90.00 90.00
Space group P4bm (No. 100)
Unique sites:
Rb 0.1703 0.3297 0.0000 x4
V 0.0000 0.0000 0.5329 x2
V 0.1337 0.6337 0.5266 x4
O 0.0000 0.0000 0.2489 x2
O 0.0000 0.5000 0.6397 x2
O 0.0854 0.8073 0.6336 x8
O 0.1305 0.6305 0.2388 x4

The 10 most intense peaks (2θ from 10° to 90°), by angle:
(2 0 1), 24.97 deg, d = 3.566 Å, I = 25
(2 1 1), 26.87 deg, d = 3.318 Å, I = 100
(0 0 2), 30.90 deg, d = 2.894 Å, I = 16
(3 1 0), 31.24 deg, d = 2.863 Å, I = 24
(2 1 2), 38.23 deg, d = 2.354 Å, I = 8
(4 1 0), 41.11 deg, d = 2.196 Å, I = 9
(4 1 1), 44.11 deg, d = 2.053 Å, I = 10
(3 1 2), 44.52 deg, d = 2.035 Å, I = 13
(2 1 3), 52.55 deg, d = 1.742 Å, I = 13
(5 2 1), 57.05 deg, d = 1.614 Å, I = 11